# 1
The following is a theoretical powder XRD pattern of Cs3RbSe6. It was derived from a cell relaxed with PBE, using CuKα.
Kinematic intensities with the Lorentz-polarization factor, no thermal factor.

Main lines, sorted by position (10° ≤ 2θ ≤ 90°):
2θ/deg  intensity  h k l
12.3  302  1 1 0
23.8  335  1 1 3
24.8  389  2 2 0
26.7  1000  1 3 1
29.2  472  3 1 2
30.7  931  0 2 4
39.0  541  4 1 3
42.8  245  1 5 2
43.1  200  3 3 3
53.8  219  1 5 5

Structural model:
a = 14.3452 Å, b = 14.3452 Å, c = 13.1766 Å
α = 90.00°, β = 90.00°, γ = 120.00°
Space group R-3c (No. 167, hexagonal axes)
One atom of each set of equivalent atoms:
Cs: 0.0000 0.4398 0.2500 [18 per cell]
Rb: 0.0000 0.0000 0.0000 [6 per cell]
Se: 0.0808 0.2474 0.3221 [36 per cell]



# 2
The following is a theoretical powder XRD pattern of CsRb2SiSe4. It was derived from a cell relaxed with PBE, using CuKα.
Kinematic intensities with the Lorentz-polarization factor, no thermal factor.

Main lines, sorted by position (10° ≤ 2θ ≤ 90°):
2θ/deg  intensity  h k l
20.8  197  2 0 0
24.5  1000  1 1 2
25.3  673  1 2 1
29.6  302  2 2 0
31.2  210  0 1 3
32.9  287  3 0 1
38.7  490  3 1 2
45.1  314  0 2 4
47.6  184  4 2 0
58.7  191  5 1 2

Structural model:
a = 8.546 Å, b = 8.550 Å, c = 9.115 Å
α = 90.00°, β = 90.00°, γ = 90.00°
Space group I222 (No. 23)
One atom of each set of equivalent atoms:
Cs: 0.000 0.000 0.000 [2 per cell]
Rb: 0.000 0.500 0.249 [4 per cell]
Si: 0.000 0.000 0.500 [2 per cell]
Se: 0.159 0.159 0.364 [8 per cell]



# 3
The following is a theoretical powder XRD pattern of Cs6Rb8Sn. It was derived from a cell relaxed with PBE, using CuKα.
Kinematic intensities with the Lorentz-polarization factor, no thermal factor.

Main lines, sorted by position (10° ≤ 2θ ≤ 90°):
2θ/deg  intensity  h k l
20.7  334  0 0 6
20.9  1000  1 2 2
24.1  939  3 -1 4
34.3  369  1 2 8
34.6  358  4 1 0
40.4  172  3 -1 10
40.6  303  4 1 6
40.8  164  6 -2 2
42.6  187  2 4 4
55.6  166  4 1 12

Structural model:
a = 13.7301 Å, b = 13.7301 Å, c = 25.7567 Å
α = 90.00°, β = 90.00°, γ = 120.00°
Space group R-3 (No. 148, hexagonal axes)
One atom of each set of equivalent atoms:
Cs: 0.0307 0.7907 0.4125 [18 per cell]
Rb: 0.0000 0.0000 0.2428 [6 per cell]
Rb: 0.0483 0.8160 0.9155 [18 per cell]
Sn: 0.0000 0.0000 0.0000 [3 per cell]



# 4
The following is a theoretical powder XRD pattern of CsRbSn12. It was derived from a cell relaxed with PBE, using CuKα.
Kinematic intensities with the Lorentz-polarization factor, no thermal factor.

Main lines, sorted by position (10° ≤ 2θ ≤ 90°):
2θ/deg  intensity  h k l
12.0  943  1 0 0
12.4  474  0 0 2
17.2  404  1 0 2
21.0  694  1 1 2
24.1  361  2 0 0
36.6  473  2 2 2
37.0  1000  2 1 4
38.5  299  3 1 0
38.6  310  3 0 2
53.4  286  3 0 6

Structural model:
a = 7.393 Å, b = 7.393 Å, c = 14.331 Å
α = 90.00°, β = 90.00°, γ = 90.00°
Space group P4/mmm (No. 123)
One atom of each set of equivalent atoms:
Cs: 0.000 0.000 0.000 [1 per cell]
Rb: 0.000 0.000 0.500 [1 per cell]
Sn: 0.197 0.500 0.250 [8 per cell]
Sn: 0.500 0.500 0.102 [2 per cell]
Sn: 0.500 0.500 0.398 [2 per cell]



# 5
The following is a theoretical powder XRD pattern of Cs3RbSn. It was derived from a cell relaxed with PBE, using CuKα.
Kinematic intensities with the Lorentz-polarization factor, no thermal factor.

Main lines, sorted by position (10° ≤ 2θ ≤ 90°):
2θ/deg  intensity  h k l
10.4  300  1 1 -1
22.2  1000  1 3 -2
22.3  373  2 0 2
22.4  876  3 3 0
25.6  429  4 0 -2
27.7  158  4 2 1
29.1  233  0 6 0
30.0  154  3 5 -1
30.3  146  3 3 2
39.2  222  4 6 -2

Structural model:
a = 15.941 Å, b = 18.421 Å, c = 10.654 Å
α = 90.00°, β = 101.37°, γ = 90.00°
Space group C2/c (No. 15)
One atom of each set of equivalent atoms:
Cs: 0.132 0.200 0.113 [8 per cell]
Cs: 0.140 0.479 0.104 [8 per cell]
Cs: 0.178 0.162 0.558 [8 per cell]
Rb: 0.000 0.021 0.750 [4 per cell]
Rb: 0.000 0.323 0.750 [4 per cell]
Sn: 0.065 0.343 0.362 [8 per cell]



# 6
The following is a theoretical powder XRD pattern of CsRbSn6. It was derived from a cell relaxed with PBE, using CuKα.
Kinematic intensities with the Lorentz-polarization factor, no thermal factor.

Main lines, sorted by position (10° ≤ 2θ ≤ 90°):
2θ/deg  intensity  h k l
16.1  464  0 0 2
23.5  1000  1 0 2
32.6  275  0 0 4
33.9  392  1 1 2
34.3  824  2 0 0
38.1  347  2 0 2
48.0  564  2 0 4
49.0  278  2 1 2
61.4  158  2 2 0
71.3  181  2 2 4

Structural model:
a = 6.0386 Å, b = 6.0386 Å, c = 10.9908 Å
α = 90.00°, β = 90.00°, γ = 120.00°
Space group P6/mmm (No. 191)
One atom of each set of equivalent atoms:
Cs: 0.0000 0.0000 0.0000 [1 per cell]
Rb: 0.0000 0.0000 0.5000 [1 per cell]
Sn: 0.0000 0.5000 0.2665 [6 per cell]



# 7
The following is a theoretical powder XRD pattern of CsRbSnTe3. It was derived from a cell relaxed with PBE, using CuKα.
Kinematic intensities with the Lorentz-polarization factor, no thermal factor.

Main lines, sorted by position (10° ≤ 2θ ≤ 90°):
2θ/deg  intensity  h k l
17.4  813  1 1 -2
18.5  411  2 0 -2
22.2  440  0 0 3
24.3  295  2 2 -1
24.4  1000  2 2 0
24.8  308  3 1 -1
30.1  397  2 2 -3
33.7  284  4 0 -3
36.1  344  2 2 3
37.5  322  0 4 0

Structural model:
a = 11.647 Å, b = 9.582 Å, c = 12.489 Å
α = 90.00°, β = 105.68°, γ = 90.00°
Space group C2/m (No. 12)
One atom of each set of equivalent atoms:
Cs: 0.194 0.000 0.096 [4 per cell]
Rb: 0.000 0.230 0.500 [4 per cell]
Sn: 0.070 0.500 0.265 [4 per cell]
Te: 0.032 0.255 0.811 [8 per cell]
Te: 0.228 0.500 0.467 [4 per cell]



# 8
The following is a theoretical powder XRD pattern of Cs8Rb6Sr. It was derived from a cell relaxed with PBE, using CuKα.
Kinematic intensities with the Lorentz-polarization factor, no thermal factor.

Main lines, sorted by position (10° ≤ 2θ ≤ 90°):
2θ/deg  intensity  h k l
18.4  833  2 0 1
20.4  756  1 1 2
22.1  1000  0 2 2
22.5  453  2 1 0
22.9  452  0 1 3
23.6  834  3 -2 1
34.1  244  3 1 2
36.6  411  3 -1 4
37.8  420  3 1 3
40.3  349  1 4 1

Structural model:
a = 12.0598 Å, b = 12.0598 Å, c = 12.5666 Å
α = 90.00°, β = 90.00°, γ = 120.00°
Space group P-3 (No. 147)
One atom of each set of equivalent atoms:
Cs: 0.0930 0.7889 0.1851 [6 per cell]
Cs: 0.3333 0.6667 0.9202 [2 per cell]
Rb: 0.1175 0.6955 0.5838 [6 per cell]
Sr: 0.0000 0.0000 0.5000 [1 per cell]



Please write out number 2 again, unchanged.
The following is a theoretical powder XRD pattern of CsRb2SiSe4. It was derived from a cell relaxed with PBE, using CuKα.
Kinematic intensities with the Lorentz-polarization factor, no thermal factor.

Main lines, sorted by position (10° ≤ 2θ ≤ 90°):
2θ/deg  intensity  h k l
20.8  197  2 0 0
24.5  1000  1 1 2
25.3  673  1 2 1
29.6  302  2 2 0
31.2  210  0 1 3
32.9  287  3 0 1
38.7  490  3 1 2
45.1  314  0 2 4
47.6  184  4 2 0
58.7  191  5 1 2

Structural model:
a = 8.546 Å, b = 8.550 Å, c = 9.115 Å
α = 90.00°, β = 90.00°, γ = 90.00°
Space group I222 (No. 23)
One atom of each set of equivalent atoms:
Cs: 0.000 0.000 0.000 [2 per cell]
Rb: 0.000 0.500 0.249 [4 per cell]
Si: 0.000 0.000 0.500 [2 per cell]
Se: 0.159 0.159 0.364 [8 per cell]